Structure and theoretical XRD peak list of Ce3H3Se (DFT lattice parameters and positions (PBE); Cu Kα X-rays).

Cell and atoms:
Unit cell a=6.8577 b=6.8577 c=19.8706 alpha=90.00 beta=90.00 gamma=120.00
Space group R-3 (No. 148, hexagonal axes)
Symmetry-distinct sites (fractional):
Ce1 0.0010 0.3262 0.0911 [18 per cell]
H1 0.0004 0.3408 0.8758 [18 per cell]
Se1 0.0000 0.0000 0.3330 [6 per cell]

Peak list (12 most intense, 2θ from 10° to 90°, by angle)
2θ 25.99, d = 3.429 Å, rel. 84, (1 1 0)
2θ 26.93, d = 3.311 Å, rel. 166, (0 0 6)
2θ 29.33, d = 3.045 Å, rel. 1000, (2 -1 3)
2θ 37.77, d = 2.382 Å, rel. 325, (1 1 6)
2θ 45.84, d = 1.980 Å, rel. 263, (3 0 0)
2θ 49.08, d = 1.856 Å, rel. 188, (2 -1 9)
2θ 53.96, d = 1.699 Å, rel. 133, (3 0 6)
2θ 55.35, d = 1.660 Å, rel. 166, (2 2 3)
2θ 60.84, d = 1.522 Å, rel. 83, (4 -2 6)
2θ 74.62, d = 1.272 Å, rel. 135, (5 -1 3)
2θ 74.74, d = 1.270 Å, rel. 89, (3 0 12)
2θ 79.40, d = 1.207 Å, rel. 73, (4 1 6)